Structure and theoretical PXRD pattern of Mn3CoCu2P6O24 (a structure optimized by DFT (PBE+U); Cu Kα (λ = 1.5418 Å)).
Lines closer than 0.1° are merged.

Largest 10 diffraction maxima, by intensity, 10 to 90 degrees two-theta:
(1 1 0), 20.85 deg, intensity 100
(2 -1 3), 24.53 deg, intensity 88
(1 1 6), 33.36 deg, intensity 69
(3 0 0), 36.52 deg, intensity 38
(1 2 8), 47.88 deg, intensity 34
(2 2 6), 50.29 deg, intensity 27
(4 1 0), 57.19 deg, intensity 26
(2 0 2), 25.62 deg, intensity 20
(4 1 6), 63.73 deg, intensity 20
(3 1 8), 57.33 deg, intensity 17

Crystal structure
```
data_Mn3CoCu2P6O24
_cell_length_a 8.5240
_cell_length_b 8.5240
_cell_length_c 20.7508
_cell_angle_alpha 90.00
_cell_angle_beta 90.00
_cell_angle_gamma 120.00
_space_group_name_H-M_alt 'R 3'
_space_group_IT_number 146
_space_group_name_Hall 'R 3'
loop_
_atom_site_label
_atom_site_fract_x
_atom_site_fract_y
_atom_site_fract_z
Mn1 0.0000 0.0000 0.0000
Mn2 0.0000 0.0000 0.2164
Mn3 0.0000 0.0000 0.5001
Co1 0.0000 0.0000 0.7150
Cu1 0.0000 0.0000 0.3582
Cu2 0.0000 0.0000 0.8556
P1 0.9997 0.2894 0.1089
P2 0.0010 0.7092 0.6080
O1 0.0014 0.1947 0.0464
O2 0.0058 0.8078 0.5457
O3 0.0176 0.1843 0.7811
O4 0.0212 0.8392 0.2794
O5 0.1365 0.6686 0.3368
O6 0.1434 0.4742 0.8375
O7 0.1716 0.6858 0.6017
O8 0.1766 0.4800 0.1030
```